No. 1
CoClF5: theoretical powder X-ray diffraction pattern (Cu Kα X-rays), based on a crystal structure in Alexandria, relaxed with PBE+U.

Top 10 peaks for 15 to 90 degrees two-theta, by angle:
2θ 16.6, d 5.348, rel. 48; 2θ 20.7, d 4.294, rel. 100; 2θ 24.2, d 3.675, rel. 26; 2θ 26.1, d 3.417, rel. 64; 2θ 26.9, d 3.312, rel. 36; 2θ 27.2, d 3.283, rel. 36; 2θ 41.0, d 2.202, rel. 18; 2θ 42.1, d 2.147, rel. 16; 2θ 43.3, d 2.091, rel. 11; 2θ 49.6, d 1.837, rel. 15

Crystal structure
Unit cell a=5.5351 b=5.5423 c=7.5250 alpha=97.10 beta=98.43 gamma=101.67
Sites, in units of the cell vectors:
Co1 0.0000 0.0000 0.0000
Co2 0.0000 0.0000 0.5000
Cl1 0.4660 0.5332 0.2514
Cl2 0.5340 0.4668 0.7486
F1 0.0558 0.9374 0.2508
F2 0.1570 0.7693 0.5532
F3 0.2263 0.8362 0.9534
F4 0.2734 0.3370 0.0492
F5 0.3464 0.2622 0.5467
F6 0.6536 0.7378 0.4533
F7 0.7266 0.6630 0.9508
F8 0.7737 0.1638 0.0466
F9 0.8430 0.2307 0.4468
F10 0.9442 0.0626 0.7492

No. 2
CoClF: theoretical powder X-ray diffraction pattern (Cu Kα X-rays), based on a crystal structure in Alexandria, relaxed with PBE+U.

Top 10 peaks for 15 to 90 degrees two-theta, by angle:
2θ 17.6, d 5.050, rel. 100; 2θ 17.9, d 4.963, rel. 43; 2θ 28.4, d 3.144, rel. 20; 2θ 29.2, d 3.061, rel. 24; 2θ 29.3, d 3.048, rel. 23; 2θ 34.3, d 2.618, rel. 18; 2θ 34.8, d 2.577, rel. 20; 2θ 46.0, d 1.971, rel. 10; 2θ 51.8, d 1.765, rel. 17; 2θ 52.0, d 1.757, rel. 14

Crystal structure
Unit cell a=8.7727 b=8.4754 c=6.1221 alpha=90.00 beta=134.21 gamma=90.00
Sites, in units of the cell vectors:
Co1 0.0000 0.1348 0.0000
Co2 0.0000 0.8652 0.5000
Co3 0.5000 0.3651 0.5000
Co4 0.5000 0.6348 0.0000
Cl1 0.0006 0.1197 0.6245
Cl2 0.0006 0.8803 0.1245
Cl3 0.5006 0.3803 0.1245
Cl4 0.5006 0.6197 0.6245
F1 0.2495 0.2504 0.3406
F2 0.2495 0.7496 0.8406
F3 0.7495 0.2496 0.8406
F4 0.7495 0.7504 0.3406

No. 3
CoSCl2F: theoretical powder X-ray diffraction pattern (Cu Kα X-rays), based on a crystal structure in Alexandria, relaxed with PBE+U.

Top 10 peaks for 15 to 90 degrees two-theta, by angle:
2θ 18.8, d 4.723, rel. 59; 2θ 19.0, d 4.666, rel. 100; 2θ 26.9, d 3.319, rel. 34; 2θ 33.1, d 2.705, rel. 32; 2θ 38.1, d 2.362, rel. 47; 2θ 38.6, d 2.333, rel. 90; 2θ 43.3, d 2.092, rel. 24; 2θ 55.4, d 1.660, rel. 55; 2θ 55.7, d 1.650, rel. 27; 2θ 69.5, d 1.352, rel. 26

Crystal structure
Unit cell a=4.6656 b=4.6656 c=4.7230 alpha=90.00 beta=90.00 gamma=90.00
Sites, in units of the cell vectors:
Co1 0.0000 0.0000 0.0000
S1 0.0000 0.0000 0.5000
Cl1 0.0000 0.5000 0.0000
Cl2 0.5000 0.0000 0.0000
F1 0.5000 0.5000 0.5000